Record 1
The following is a calculated powder diffraction line list of Ac3Tl2Ag9. It was derived from DFT lattice parameters and positions (PBE), using λ = 1.5418 Å (Cu Kα).

Top 10 peaks for 2θ = 5–70°, low angle first:
2θ (°)	intensity
31.76	100.0
32.09	31.6
32.83	22.3
32.95	28.7
35.16	38.7
36.06	18.0
36.85	48.9
37.26	23.0
41.47	21.4
61.50	18.3

Cell: 9.0956 9.0956 9.0956 Å, 148.89 114.28 74.49°
Atoms (fractional coordinates):
Ac 0.0000 0.0000 0.0000
Ac 0.2942 0.2942 0.0000
Ac 0.7058 0.7058 0.0000
Tl 0.3107 0.5000 0.8107
Tl 0.6893 0.5000 0.1893
Ag 0.0243 0.6649 0.3594
Ag 0.1446 0.8616 0.2831
Ag 0.3054 0.6649 0.6406
Ag 0.4215 0.1384 0.2831
Ag 0.5000 0.0000 0.5000
Ag 0.5785 0.8616 0.7169
Ag 0.6946 0.3351 0.3594
Ag 0.8554 0.1384 0.7169
Ag 0.9757 0.3351 0.6406

=====

Record 2
The following is a calculated powder diffraction line list of Ac2Tl3Ag2. It was derived from DFT lattice parameters and positions (PBE), using λ = 1.5418 Å (Cu Kα).

Top 10 peaks for 2θ = 5–70°, low angle first:
2θ (°)	intensity
27.23	14.3
29.56	100.0
33.07	59.4
33.69	65.3
37.40	30.5
46.02	17.1
50.77	36.3
58.24	27.5
60.74	15.0
61.95	19.0

Cell: 4.8092 22.3559 3.9441 Å, 90.00 90.00 90.00°
Atoms (fractional coordinates):
Ac 0.0000 0.1606 0.0000
Ac 0.0000 0.8394 0.0000
Ac 0.5000 0.3394 0.0000
Ac 0.5000 0.6606 0.0000
Tl 0.0000 0.0000 0.0000
Tl 0.0000 0.4271 0.5000
Tl 0.0000 0.5729 0.5000
Tl 0.5000 0.0729 0.5000
Tl 0.5000 0.5000 0.0000
Tl 0.5000 0.9271 0.5000
Ag 0.0000 0.2843 0.5000
Ag 0.0000 0.7157 0.5000
Ag 0.5000 0.2157 0.5000
Ag 0.5000 0.7843 0.5000